Diffraction record for Pm12CrGe7. The X-ray powder pattern is computed, not measured: it uses a crystal structure in Alexandria, relaxed with GGA-PBE and Cu Kα.
Neutral-atom scattering factors, no anomalous dispersion.

Principal peaks in the range 10 to 80 degrees two-theta, sorted by position:
- 2θ 26.7, rel. 88
- 2θ 29.3, rel. 27
- 2θ 29.8, rel. 23
- 2θ 31.7, rel. 64
- 2θ 31.9, rel. 100
- 2θ 36.5, rel. 33
- 2θ 38.5, rel. 26
- 2θ 43.6, rel. 50
- 2θ 44.0, rel. 20
- 2θ 53.7, rel. 23

Crystal structure
```
Pm12CrGe7
1.0
7.479 4.318 2.998
-7.479 4.318 2.998
0.000 -8.636 2.998
Pm Cr Ge
12 1 7
Cartesian
-2.264 -0.601 2.457
-1.084 -3.969 3.189
-2.895 2.923 3.189
1.652 -1.660 2.457
-3.980 -1.046 5.806
0.612 2.261 2.457
-0.612 -2.261 6.539
3.980 1.046 3.189
-1.652 1.660 6.539
2.895 -2.923 5.806
1.084 3.969 5.806
2.264 0.601 6.539
0.000 0.000 0.000
-1.777 -6.855 3.729
-6.825 -1.889 5.267
-5.049 4.966 3.729
0.000 0.000 4.498
5.049 -4.966 5.267
6.825 1.889 3.729
1.777 6.855 5.267
```

Diffraction record for Pu4CrGe8. The X-ray powder pattern is computed, not measured: it uses a crystal structure in Alexandria, relaxed with GGA-PBE and Cu Kα.
Neutral-atom scattering factors, no anomalous dispersion.

Principal peaks in the range 10 to 80 degrees two-theta, sorted by position:
- 2θ 21.8, rel. 16
- 2θ 24.8, rel. 28
- 2θ 31.2, rel. 13
- 2θ 34.3, rel. 14
- 2θ 35.2, rel. 100
- 2θ 35.7, rel. 22
- 2θ 42.9, rel. 19
- 2θ 44.8, rel. 17
- 2θ 63.8, rel. 12
- 2θ 73.6, rel. 12

Crystal structure
```
Pu4CrGe8
1.0
4.042 0.000 0.000
0.000 4.220 0.000
0.000 0.000 15.675
Pu Cr Ge
4 1 8
Cartesian
0.000 0.000 0.000
0.000 2.110 7.490
2.021 0.000 12.270
2.021 2.110 4.518
0.000 2.110 11.007
0.000 0.000 5.072
0.000 0.000 9.638
0.000 2.110 2.184
0.000 2.110 13.422
2.021 0.000 2.330
2.021 0.000 6.873
2.021 2.110 9.626
2.021 2.110 15.084
```

Diffraction record for Rb2CrGeSe4. The X-ray powder pattern is computed, not measured: it uses a crystal structure in Alexandria, relaxed with GGA-PBE and Cu Kα.
Neutral-atom scattering factors, no anomalous dispersion.

Principal peaks in the range 10 to 80 degrees two-theta, sorted by position:
- 2θ 14.9, rel. 31
- 2θ 15.0, rel. 29
- 2θ 26.0, rel. 100
- 2θ 26.1, rel. 25
- 2θ 26.9, rel. 22
- 2θ 30.1, rel. 63
- 2θ 34.6, rel. 36
- 2θ 45.6, rel. 18
- 2θ 46.6, rel. 23
- 2θ 47.7, rel. 32

Crystal structure
```
Rb2CrGeSe4
1.0
0.000 6.866 11.813
3.450 0.000 11.813
3.450 6.866 0.000
Rb Cr Ge Se
4 2 2 8
Cartesian
2.587 5.149 1.306
4.312 8.582 7.212
2.587 5.149 16.414
4.312 8.582 22.320
0.862 1.716 2.953
6.037 12.015 20.673
2.587 5.149 8.860
4.312 8.582 14.766
2.445 2.959 4.184
4.454 6.392 10.091
2.729 7.339 4.184
2.729 2.959 13.535
4.170 10.772 10.091
4.170 6.392 19.442
2.445 7.339 13.535
4.454 10.772 19.442
```

Diffraction record for Cr5GeS8. The X-ray powder pattern is computed, not measured: it uses a crystal structure in Alexandria, relaxed with GGA-PBE and Cu Kα.
Neutral-atom scattering factors, no anomalous dispersion.

Principal peaks in the range 10 to 80 degrees two-theta, sorted by position:
- 2θ 15.7, rel. 19
- 2θ 25.8, rel. 60
- 2θ 30.4, rel. 100
- 2θ 36.8, rel. 47
- 2θ 40.3, rel. 10
- 2θ 45.5, rel. 35
- 2θ 48.4, rel. 73
- 2θ 53.0, rel. 88
- 2θ 72.4, rel. 21
- 2θ 74.7, rel. 16

Crystal structure
```
Cr5GeS8
1.0
0.000 4.883 4.883
4.883 0.000 4.883
4.883 4.883 0.000
Cr Ge S
5 1 8
Cartesian
0.000 0.000 0.000
3.448 3.448 3.448
6.317 6.317 3.448
6.317 3.448 6.317
3.448 6.317 6.317
7.324 7.324 7.324
1.252 1.252 1.252
3.630 3.630 1.252
3.630 1.252 3.630
5.943 3.822 3.822
3.822 5.943 3.822
3.822 3.822 5.943
5.943 5.943 5.943
1.252 3.630 3.630
```

Diffraction record for VCr2GeS6. The X-ray powder pattern is computed, not measured: it uses a crystal structure in Alexandria, relaxed with GGA-PBE and Cu Kα.
Neutral-atom scattering factors, no anomalous dispersion.

Principal peaks in the range 10 to 80 degrees two-theta, sorted by position:
- 2θ 20.0, rel. 51
- 2θ 27.5, rel. 63
- 2θ 29.2, rel. 38
- 2θ 33.6, rel. 78
- 2θ 40.6, rel. 38
- 2θ 44.5, rel. 100
- 2θ 50.7, rel. 31
- 2θ 51.7, rel. 61
- 2θ 59.1, rel. 28
- 2θ 70.6, rel. 21

Crystal structure
```
VCr2GeS6
1.0
3.061 1.767 5.453
-3.061 1.767 5.453
0.000 -3.535 5.453
V Cr Ge S
1 2 1 6
Cartesian
0.000 0.000 0.000
0.000 0.000 3.193
0.000 0.000 11.339
0.000 0.000 8.107
-1.013 -2.007 7.048
-1.920 0.026 9.816
-1.232 1.881 7.048
0.938 -1.676 9.816
2.245 0.127 7.048
0.982 1.650 9.816
```

Diffraction record for CrGe2Sb. The X-ray powder pattern is computed, not measured: it uses a crystal structure in Alexandria, relaxed with GGA-PBE and Cu Kα.
Neutral-atom scattering factors, no anomalous dispersion.

Principal peaks in the range 10 to 80 degrees two-theta, sorted by position:
- 2θ 25.8, rel. 100
- 2θ 34.5, rel. 8
- 2θ 42.6, rel. 50
- 2θ 43.0, rel. 23
- 2θ 50.2, rel. 16
- 2θ 50.8, rel. 28
- 2θ 62.4, rel. 7
- 2θ 68.2, rel. 11
- 2θ 77.8, rel. 8
- 2θ 78.5, rel. 13

Crystal structure
```
CrGe2Sb
1.0
-2.976 2.976 6.043
2.976 -2.976 6.043
2.976 2.976 -6.043
Cr Ge Sb
2 4 2
Cartesian
0.000 0.000 0.000
0.000 2.976 3.022
4.464 1.297 -1.511
1.297 1.488 1.511
-1.488 1.679 4.532
1.679 1.488 7.554
2.976 0.000 3.022
0.000 0.000 6.043
```

Diffraction record for Sc7Cr5Ge9. The X-ray powder pattern is computed, not measured: it uses a crystal structure in Alexandria, relaxed with GGA-PBE and Cu Kα.
Neutral-atom scattering factors, no anomalous dispersion.

Principal peaks in the range 10 to 80 degrees two-theta, sorted by position:
- 2θ 27.6, rel. 28
- 2θ 36.1, rel. 38
- 2θ 37.7, rel. 90
- 2θ 37.8, rel. 91
- 2θ 38.2, rel. 64
- 2θ 38.3, rel. 100
- 2θ 38.5, rel. 42
- 2θ 42.0, rel. 56
- 2θ 42.5, rel. 27
- 2θ 49.7, rel. 47

Crystal structure
```
Sc7Cr5Ge9
1.0
0.000 7.048 7.071
7.014 0.000 7.071
7.014 7.048 0.000
Sc Cr Ge
14 10 18
Cartesian
5.220 4.388 1.779
7.014 7.048 2.514
11.504 7.048 7.071
1.794 2.661 1.779
5.220 2.661 5.292
7.014 4.755 7.071
12.234 9.709 8.850
1.794 4.388 5.292
7.014 9.341 7.071
8.807 11.436 8.850
12.234 11.436 12.362
2.523 7.048 7.071
7.014 7.048 11.627
8.807 9.709 12.362
9.247 5.686 4.806
9.247 8.410 4.806
8.737 7.048 7.071
4.780 5.686 4.806
9.247 5.686 9.336
4.780 8.410 4.806
9.247 8.410 9.336
5.290 7.048 7.071
4.780 5.686 9.336
4.780 8.410 9.336
11.397 7.048 4.433
7.014 1.581 7.071
7.014 4.664 4.132
9.846 4.737 7.071
3.507 3.524 3.535
7.014 7.048 5.294
11.397 7.048 9.708
7.014 9.433 4.132
9.846 9.359 7.071
4.181 4.737 7.071
7.014 4.664 10.009
2.631 7.048 4.433
7.014 7.048 8.848
10.520 10.572 10.606
4.181 9.359 7.071
7.014 9.433 10.009
7.014 12.516 7.071
2.631 7.048 9.708
```

Diffraction record for CrGeSe. The X-ray powder pattern is computed, not measured: it uses a crystal structure in Alexandria, relaxed with GGA-PBE and Cu Kα.
Neutral-atom scattering factors, no anomalous dispersion.

Principal peaks in the range 10 to 80 degrees two-theta, sorted by position:
- 2θ 13.7, rel. 17
- 2θ 20.6, rel. 9
- 2θ 33.8, rel. 9
- 2θ 35.5, rel. 9
- 2θ 37.3, rel. 100
- 2θ 47.2, rel. 45
- 2θ 49.3, rel. 11
- 2θ 59.8, rel. 25
- 2θ 72.6, rel. 13
- 2θ 79.5, rel. 9

Crystal structure
```
CrGeSe
1.0
1.546 0.893 12.937
-1.546 0.893 12.937
0.000 -1.785 12.937
Cr Ge Se
2 2 2
Cartesian
0.000 0.000 2.955
0.000 0.000 35.855
0.000 0.000 14.045
0.000 0.000 24.765
0.000 0.000 8.405
0.000 0.000 30.405
```

Diffraction record for VCr2GeSe6. The X-ray powder pattern is computed, not measured: it uses a crystal structure in Alexandria, relaxed with GGA-PBE and Cu Kα.
Neutral-atom scattering factors, no anomalous dispersion.

Principal peaks in the range 10 to 80 degrees two-theta, sorted by position:
- 2θ 18.9, rel. 18
- 2θ 26.0, rel. 10
- 2θ 31.7, rel. 100
- 2θ 38.2, rel. 13
- 2θ 42.0, rel. 52
- 2θ 47.8, rel. 9
- 2θ 48.7, rel. 39
- 2θ 55.6, rel. 24
- 2θ 59.2, rel. 13
- 2θ 66.2, rel. 11

Crystal structure
```
VCr2GeSe6
1.0
3.240 1.871 5.761
-3.240 1.871 5.761
0.000 -3.742 5.761
V Cr Ge Se
1 2 1 6
Cartesian
0.000 0.000 0.000
0.000 0.000 5.339
0.000 0.000 13.919
0.000 0.000 8.726
-2.047 -0.021 6.910
-1.304 -2.003 9.847
1.041 -1.763 6.910
-1.083 2.131 9.847
1.006 1.783 6.910
2.387 -0.128 9.847
```

Diffraction record for Ti5CrGe5. The X-ray powder pattern is computed, not measured: it uses a crystal structure in Alexandria, relaxed with GGA-PBE and Cu Kα.
Neutral-atom scattering factors, no anomalous dispersion.

Principal peaks in the range 10 to 80 degrees two-theta, sorted by position:
- 2θ 12.7, rel. 19
- 2θ 35.0, rel. 100
- 2θ 35.1, rel. 98
- 2θ 35.6, rel. 94
- 2θ 49.2, rel. 36
- 2θ 50.5, rel. 67
- 2θ 50.8, rel. 65
- 2θ 52.5, rel. 29
- 2θ 61.8, rel. 35
- 2θ 64.7, rel. 30

Crystal structure
```
Ti5CrGe5
1.0
5.566 -2.562 0.000
5.566 2.562 0.000
-2.554 0.000 6.956
Ti Cr Ge
5 1 5
Cartesian
0.000 0.000 0.000
3.212 0.000 1.150
2.056 0.000 4.702
6.521 0.000 2.255
5.365 0.000 5.806
-1.277 0.000 3.478
-0.290 0.000 5.760
0.973 0.000 2.369
4.289 0.000 3.478
7.604 0.000 4.587
8.867 0.000 1.196
```

Diffraction record for Ti4CrGe3. The X-ray powder pattern is computed, not measured: it uses a crystal structure in Alexandria, relaxed with GGA-PBE and Cu Kα.
Neutral-atom scattering factors, no anomalous dispersion.

Principal peaks in the range 10 to 80 degrees two-theta, sorted by position:
- 2θ 27.0, rel. 21
- 2θ 36.1, rel. 21
- 2θ 37.4, rel. 56
- 2θ 40.6, rel. 68
- 2θ 40.8, rel. 81
- 2θ 41.8, rel. 100
- 2θ 44.7, rel. 41
- 2θ 52.2, rel. 26
- 2θ 53.1, rel. 36
- 2θ 79.8, rel. 27

Crystal structure
```
Ti4CrGe3
1.0
-4.948 4.948 2.487
4.948 -4.948 2.487
4.948 4.948 -2.487
Ti Cr Ge
8 2 6
Cartesian
7.687 0.789 0.000
0.789 2.209 0.000
5.738 2.739 0.000
2.739 4.159 0.000
2.209 0.789 2.487
-0.789 2.209 2.487
4.159 2.739 2.487
-2.739 4.159 2.487
4.948 0.000 1.243
0.000 4.948 1.243
3.403 1.545 0.000
0.000 0.000 1.243
3.403 -1.545 2.487
1.545 6.493 0.000
0.000 0.000 3.730
1.545 3.403 2.487
```

Diffraction record for UCr2Ge2. The X-ray powder pattern is computed, not measured: it uses a crystal structure in Alexandria, relaxed with GGA-PBE and Cu Kα.
Neutral-atom scattering factors, no anomalous dispersion.

Principal peaks in the range 10 to 80 degrees two-theta, sorted by position:
- 2θ 23.2, rel. 62
- 2θ 24.8, rel. 22
- 2θ 32.3, rel. 100
- 2θ 37.4, rel. 77
- 2θ 39.8, rel. 57
- 2θ 42.4, rel. 74
- 2θ 50.8, rel. 22
- 2θ 52.4, rel. 29
- 2θ 56.9, rel. 26
- 2θ 66.4, rel. 25

Crystal structure
```
UCr2Ge2
1.0
0.000 3.593 4.371
2.647 0.000 4.371
2.647 3.593 0.000
U Cr Ge
1 2 2
Cartesian
0.000 0.000 0.000
2.647 3.593 3.339
2.647 3.593 5.403
1.323 1.797 2.185
3.970 5.390 6.556
```